# 1
The following is a theoretical powder X-ray diffraction pattern of MgZn2Ag7Sb2. It was derived from the PBE geometry in Alexandria, using Cu Kα (λ = 1.5418 Å).

```
data_MgZn2Ag7Sb2
_cell_length_a 5.917
_cell_length_b 5.962
_cell_length_c 13.204
_cell_angle_alpha 90.00
_cell_angle_beta 90.06
_cell_angle_gamma 90.00
_symmetry_space_group_name_H-M 'C 1 2/m 1'
_symmetry_Int_Tables_number 12
_symmetry_space_group_name_Hall '-C 2y'
loop_
_atom_site_label
_atom_site_fract_x
_atom_site_fract_y
_atom_site_fract_z
_atom_site_occupancy
Mg1 0.000 0.000 0.000 1
Zn1 0.001 0.500 0.316 1
Ag1 0.000 0.500 0.000 1
Ag2 0.236 0.500 0.500 1
Ag3 0.250 0.250 0.157 1
Sb1 0.002 0.000 0.319 1
```

Principal peaks in the range 2θ = 10–90°, low angle first:
h k l, 2theta, I_rel
0 2 1, 30.7, 29
0 2 3, 36.4, 39
2 0 3, 36.6, 100
0 2 4, 40.8, 21
0 0 6, 41.0, 34
2 2 0, 43.1, 26
2 2 -1, 43.6, 18
2 2 -2, 45.3, 21
2 2 -7, 66.6, 15
2 4 3, 74.5, 23

=====

# 2
The following is a theoretical powder X-ray diffraction pattern of Mg2ScAg2. It was derived from the PBE geometry in Alexandria, using Cu Kα (λ = 1.5418 Å).

```
data_Mg2ScAg2
_cell_length_a 3.422
_cell_length_b 18.378
_cell_length_c 3.363
_cell_angle_alpha 90.00
_cell_angle_beta 90.00
_cell_angle_gamma 90.00
_symmetry_space_group_name_H-M 'C m m m'
_symmetry_Int_Tables_number 65
_symmetry_space_group_name_Hall '-C 2 2'
loop_
_atom_site_label
_atom_site_fract_x
_atom_site_fract_y
_atom_site_fract_z
_atom_site_occupancy
Mg1 0.000 0.179 0.000 1
Sc1 0.000 0.000 0.000 1
Ag1 0.000 0.407 0.500 1
```

Principal peaks in the range 2θ = 10–90°, low angle first:
h k l, 2theta, I_rel
0 4 0, 19.3, 32
0 0 1, 26.5, 45
0 4 1, 33.0, 41
1 5 0, 35.9, 84
1 1 1, 37.8, 100
0 6 1, 39.8, 60
1 5 1, 45.1, 17
1 5 2, 67.0, 24
1 11 1, 68.4, 25
2 6 1, 68.8, 22

=====

# 3
The following is a theoretical powder X-ray diffraction pattern of Mg2ScAg. It was derived from the PBE geometry in Alexandria, using Cu Kα (λ = 1.5418 Å).

```
data_Mg2ScAg
_cell_length_a 3.255
_cell_length_b 4.443
_cell_length_c 6.194
_cell_angle_alpha 90.00
_cell_angle_beta 105.14
_cell_angle_gamma 90.00
_symmetry_space_group_name_H-M 'P 1 m 1'
_symmetry_Int_Tables_number 6
_symmetry_space_group_name_Hall 'P -2y'
loop_
_atom_site_label
_atom_site_fract_x
_atom_site_fract_y
_atom_site_fract_z
_atom_site_occupancy
Mg1 0.000 0.000 0.000 1
Mg2 0.387 0.500 0.773 1
Sc1 0.651 0.500 0.300 1
Ag1 0.248 0.000 0.494 1
```

Principal peaks in the range 2θ = 10–90°, low angle first:
h k l, 2theta, I_rel
0 0 1, 14.8, 88
0 1 1, 25.0, 32
1 0 -1, 28.4, 34
1 1 -1, 35.0, 100
1 0 1, 35.6, 35
0 1 2, 36.2, 80
0 2 0, 40.6, 31
1 1 1, 41.2, 44
1 0 -3, 47.2, 22
2 1 1, 69.0, 22

=====

# 4
The following is a theoretical powder X-ray diffraction pattern of MgSc4Zn2Ag. It was derived from the PBE geometry in Alexandria, using Cu Kα (λ = 1.5418 Å).

```
data_MgSc4Zn2Ag
_cell_length_a 4.8404
_cell_length_b 4.8404
_cell_length_c 23.7948
_cell_angle_alpha 90.00
_cell_angle_beta 90.00
_cell_angle_gamma 120.00
_symmetry_space_group_name_H-M 'R -3 m'
_symmetry_Int_Tables_number 166
_symmetry_space_group_name_Hall '-R 3 2"'
loop_
_atom_site_label
_atom_site_fract_x
_atom_site_fract_y
_atom_site_fract_z
_atom_site_occupancy
Mg1 0.0000 0.0000 0.0000 1
Sc1 0.0000 0.0000 0.1275 1
Sc2 0.0000 0.0000 0.3787 1
Zn1 0.0000 0.0000 0.2564 1
Ag1 0.0000 0.0000 0.5000 1
```

Principal peaks in the range 2θ = 10–90°, low angle first:
h k l, 2theta, I_rel
0 0 3, 11.2, 8
1 0 1, 21.5, 9
1 0 4, 26.0, 6
0 1 5, 28.4, 5
1 1 0, 37.1, 100
1 1 9, 51.2, 5
2 0 8, 53.5, 16
1 0 16, 66.7, 7
3 0 0, 66.9, 23
2 2 0, 79.1, 5

=====

# 5
The following is a theoretical powder X-ray diffraction pattern of MgAgSe2. It was derived from the PBE geometry in Alexandria, using Cu Kα (λ = 1.5418 Å).

```
data_MgAgSe2
_cell_length_a 3.668
_cell_length_b 3.800
_cell_length_c 6.982
_cell_angle_alpha 90.00
_cell_angle_beta 90.00
_cell_angle_gamma 90.00
_symmetry_space_group_name_H-M 'P m m m'
_symmetry_Int_Tables_number 47
_symmetry_space_group_name_Hall '-P 2 2'
loop_
_atom_site_label
_atom_site_fract_x
_atom_site_fract_y
_atom_site_fract_z
_atom_site_occupancy
Mg1 0.000 0.000 0.000 1
Ag1 0.000 0.500 0.500 1
Se1 0.500 0.000 0.500 1
Se2 0.500 0.500 0.000 1
```

Principal peaks in the range 2θ = 10–90°, low angle first:
h k l, 2theta, I_rel
0 0 1, 12.7, 26
0 0 2, 25.5, 64
1 1 1, 36.4, 100
0 2 0, 47.9, 11
2 0 0, 49.7, 12
1 1 3, 52.4, 42
0 2 2, 55.0, 15
2 0 2, 56.7, 13
2 2 2, 77.3, 21
3 1 1, 84.4, 9

=====

# 6
The following is a theoretical powder X-ray diffraction pattern of MgAg2TeSe4. It was derived from the PBE geometry in Alexandria, using Cu Kα (λ = 1.5418 Å).

```
data_MgAg2TeSe4
_cell_length_a 7.991
_cell_length_b 8.041
_cell_length_c 11.374
_cell_angle_alpha 90.00
_cell_angle_beta 90.00
_cell_angle_gamma 90.00
_symmetry_space_group_name_H-M 'I m m a'
_symmetry_Int_Tables_number 74
_symmetry_space_group_name_Hall '-I 2b 2'
loop_
_atom_site_label
_atom_site_fract_x
_atom_site_fract_y
_atom_site_fract_z
_atom_site_occupancy
Mg1 0.250 0.250 0.250 1
Ag1 0.000 0.000 0.000 1
Ag2 0.250 0.250 0.750 1
Te1 0.000 0.000 0.500 1
Se1 0.000 0.010 0.249 1
Se2 0.245 0.250 0.006 1
```

Principal peaks in the range 2θ = 10–90°, low angle first:
h k l, 2theta, I_rel
0 0 4, 31.5, 50
2 2 0, 31.6, 100
2 2 4, 45.2, 90
4 0 0, 45.4, 18
0 4 4, 56.0, 19
4 0 4, 56.3, 18
2 2 8, 74.7, 23
4 4 4, 74.9, 15
2 6 4, 83.3, 17
6 2 4, 83.7, 12

=====

# 7
The following is a theoretical powder X-ray diffraction pattern of MgTiAg2Se4. It was derived from the PBE geometry in Alexandria, using Cu Kα (λ = 1.5418 Å).

```
data_MgTiAg2Se4
_cell_length_a 6.053
_cell_length_b 6.053
_cell_length_c 7.225
_cell_angle_alpha 65.24
_cell_angle_beta 65.25
_cell_angle_gamma 90.00
_symmetry_space_group_name_H-M 'P 1'
_symmetry_Int_Tables_number 1
_symmetry_space_group_name_Hall 'P 1'
loop_
_atom_site_label
_atom_site_fract_x
_atom_site_fract_y
_atom_site_fract_z
_atom_site_occupancy
Mg1 0.000 0.000 0.000 1
Ti1 0.250 0.750 0.500 1
Ag1 0.500 0.500 0.000 1
Ag2 0.751 0.250 0.500 1
Se1 0.133 0.095 0.262 1
Se2 0.357 0.868 0.739 1
Se3 0.606 0.644 0.262 1
Se4 0.905 0.394 0.739 1
```

Principal peaks in the range 2θ = 10–90°, low angle first:
h k l, 2theta, I_rel
1 0 1, 16.5, 11
1 1 2, 25.8, 100
2 -1 0, 34.0, 10
2 2 2, 42.2, 25
2 0 3, 43.1, 48
1 3 3, 50.2, 29
1 1 4, 51.7, 15
3 1 -1, 68.9, 13
4 2 5, 77.8, 14
2 2 6, 79.7, 9

=====

# 8
The following is a theoretical powder X-ray diffraction pattern of MgUAgSe4. It was derived from the PBE geometry in Alexandria, using Cu Kα (λ = 1.5418 Å).

```
data_MgUAgSe4
_cell_length_a 8.074
_cell_length_b 8.413
_cell_length_c 11.070
_cell_angle_alpha 90.00
_cell_angle_beta 90.00
_cell_angle_gamma 90.00
_symmetry_space_group_name_H-M 'I m m a'
_symmetry_Int_Tables_number 74
_symmetry_space_group_name_Hall '-I 2b 2'
loop_
_atom_site_label
_atom_site_fract_x
_atom_site_fract_y
_atom_site_fract_z
_atom_site_occupancy
Mg1 0.250 0.250 0.250 1
U1 0.000 0.000 0.000 1
Ag1 0.000 0.250 0.653 1
Se1 0.000 0.033 0.246 1
Se2 0.229 0.250 0.995 1
```

Principal peaks in the range 2θ = 10–90°, low angle first:
h k l, 2theta, I_rel
1 0 1, 13.6, 82
2 0 0, 22.0, 41
1 2 1, 25.2, 88
1 0 3, 26.6, 61
2 2 0, 30.7, 70
0 0 4, 32.4, 36
2 2 2, 34.8, 31
3 2 1, 40.6, 43
0 4 0, 43.0, 29
2 2 4, 45.2, 100

=====

# 9
The following is a theoretical powder X-ray diffraction pattern of SmMg3Ag4. It was derived from the PBE geometry in Alexandria, using Cu Kα (λ = 1.5418 Å).

```
data_SmMg3Ag4
_cell_length_a 4.7949
_cell_length_b 4.7949
_cell_length_c 24.9921
_cell_angle_alpha 90.00
_cell_angle_beta 90.00
_cell_angle_gamma 120.00
_symmetry_space_group_name_H-M 'R -3 m'
_symmetry_Int_Tables_number 166
_symmetry_space_group_name_Hall '-R 3 2"'
loop_
_atom_site_label
_atom_site_fract_x
_atom_site_fract_y
_atom_site_fract_z
_atom_site_occupancy
Sm1 0.0000 0.0000 0.0000 1
Mg1 0.0000 0.0000 0.2460 1
Mg2 0.0000 0.0000 0.5000 1
Ag1 0.0000 0.0000 0.1277 1
Ag2 0.0000 0.0000 0.3901 1
```

Principal peaks in the range 2θ = 10–90°, low angle first:
h k l, 2theta, I_rel
0 1 2, 22.6, 20
1 0 4, 25.8, 26
0 1 5, 27.9, 19
1 0 7, 33.1, 21
0 1 8, 36.0, 92
1 1 0, 37.5, 100
2 0 8, 53.0, 29
1 2 8, 66.7, 28
3 0 0, 67.7, 17
1 1 15, 68.6, 13

=====

# 10
The following is a theoretical powder X-ray diffraction pattern of Sm3Mg2Ag4. It was derived from the PBE geometry in Alexandria, using Cu Kα (λ = 1.5418 Å).

```
data_Sm3Mg2Ag4
_cell_length_a 9.661
_cell_length_b 4.825
_cell_length_c 9.315
_cell_angle_alpha 90.00
_cell_angle_beta 93.01
_cell_angle_gamma 90.00
_symmetry_space_group_name_H-M 'C 1 2/m 1'
_symmetry_Int_Tables_number 12
_symmetry_space_group_name_Hall '-C 2y'
loop_
_atom_site_label
_atom_site_fract_x
_atom_site_fract_y
_atom_site_fract_z
_atom_site_occupancy
Sm1 0.000 0.000 0.000 1
Sm2 0.145 0.500 0.400 1
Mg1 0.173 0.500 0.779 1
Ag1 0.049 0.000 0.653 1
Ag2 0.198 0.500 0.083 1
```

Principal peaks in the range 2θ = 10–90°, low angle first:
h k l, 2theta, I_rel
0 0 2, 19.1, 12
1 1 1, 22.9, 38
0 0 3, 28.8, 16
3 1 0, 33.5, 100
1 1 3, 36.1, 59
0 2 0, 37.3, 37
3 1 -2, 38.1, 31
4 0 1, 39.1, 17
2 2 -3, 51.0, 18
4 2 1, 55.1, 12

=====

# 11
The following is a theoretical powder X-ray diffraction pattern of Sm2Mg3Ag4. It was derived from the PBE geometry in Alexandria, using Cu Kα (λ = 1.5418 Å).

```
data_Sm2Mg3Ag4
_cell_length_a 4.935
_cell_length_b 4.944
_cell_length_c 9.501
_cell_angle_alpha 85.89
_cell_angle_beta 86.06
_cell_angle_gamma 61.23
_symmetry_space_group_name_H-M 'P -1'
_symmetry_Int_Tables_number 2
_symmetry_space_group_name_Hall '-P 1'
loop_
_atom_site_label
_atom_site_fract_x
_atom_site_fract_y
_atom_site_fract_z
_atom_site_occupancy
Sm1 0.149 0.149 0.223 1
Mg1 0.194 0.195 0.583 1
Mg2 0.500 0.500 0.000 1
Ag1 0.177 0.177 0.903 1
Ag2 0.470 0.468 0.358 1
```

Principal peaks in the range 2θ = 10–90°, low angle first:
h k l, 2theta, I_rel
0 0 2, 18.7, 17
1 1 1, 22.3, 29
0 1 -1, 23.0, 62
1 1 3, 34.0, 60
1 -1 0, 35.7, 59
1 0 -3, 35.9, 100
2 1 0, 36.5, 94
1 2 1, 37.1, 17
0 2 3, 50.0, 20
2 0 3, 50.2, 19

=====

# 12
The following is a theoretical powder X-ray diffraction pattern of Sm6MgAg5. It was derived from the PBE geometry in Alexandria, using Cu Kα (λ = 1.5418 Å).

```
data_Sm6MgAg5
_cell_length_a 5.282
_cell_length_b 7.413
_cell_length_c 8.379
_cell_angle_alpha 90.00
_cell_angle_beta 108.17
_cell_angle_gamma 90.00
_symmetry_space_group_name_H-M 'P 1 2/m 1'
_symmetry_Int_Tables_number 10
_symmetry_space_group_name_Hall '-P 2y'
loop_
_atom_site_label
_atom_site_fract_x
_atom_site_fract_y
_atom_site_fract_z
_atom_site_occupancy
Sm1 0.000 0.240 0.000 1
Sm2 0.329 0.249 0.659 1
Mg1 0.500 0.500 0.000 1
Ag1 0.155 0.500 0.309 1
Ag2 0.167 0.000 0.334 1
Ag3 0.500 0.000 0.000 1
```

Principal peaks in the range 2θ = 10–90°, low angle first:
h k l, 2theta, I_rel
0 0 3, 33.8, 33
2 0 -1, 34.0, 100
1 2 -2, 34.1, 66
2 0 2, 48.5, 12
2 0 -4, 48.7, 12
0 4 0, 49.2, 12
3 2 0, 60.7, 23
3 2 -3, 60.9, 12
0 4 3, 61.0, 11
2 4 -1, 61.1, 12